Calculated X-ray powder pattern
Compound: TbHo4Pu
Radiation: Cu Kα X-rays
Structure: a GGA-PBE-relaxed structure
Intensities are scaled so that the largest is 100.

Atomic structure:
Unit cell a=9.3042 b=9.3042 c=11.3766 alpha=90.00 beta=90.00 gamma=158.21
Positions (direct):
Tb (0.2219, 0.7781, 0.5000)
Tb (0.7781, 0.2219, 0.0000)
Ho (0.0007, 0.9993, 0.2543)
Ho (0.1112, 0.8888, 0.0067)
Ho (0.3322, 0.6679, 0.2528)
Ho (0.4440, 0.5560, 0.0023)
Ho (0.5560, 0.4440, 0.5023)
Ho (0.6679, 0.3322, 0.7528)
Ho (0.8888, 0.1112, 0.5067)
Ho (0.9993, 0.0007, 0.7543)
Pu (0.3337, 0.6663, 0.7523)
Pu (0.6663, 0.3337, 0.2523)

Top 10 peaks for 2θ from 15° to 90°, in order of rising 2θ:
- 2θ 30.4, I = 35
- 2θ 31.5, I = 33
- 2θ 33.4, I = 100
- 2θ 37.9, I = 19
- 2θ 52.0, I = 24
- 2θ 57.2, I = 22
- 2θ 62.1, I = 29
- 2θ 63.2, I = 16
- 2θ 86.2, I = 14
- 2θ 88.4, I = 11